Starting from the PBE geometry in Alexandria, the X-ray powder pattern of TbZn10Ga2 was calculated for Cu Kα.

Structure:
Cell lengths 5.5838, 12.2469, 12.4925 Å; angles 90.00, 90.00, 90.00 degrees
Space group Fmmm (No. 69)
Unique sites:
1 Tb 0.0000 0.0000 0.0000
2 Zn 0.0000 0.1071 0.3903
3 Zn 0.0000 0.1759 0.1787
4 Zn 0.2500 0.0000 0.2500
5 Ga 0.2500 0.2500 0.0000

Main lines, sorted by position (2θ = 10–90°):
two_theta	intensity
34.71	57
38.25	100
40.22	60
40.88	55
41.29	62
43.48	27

Starting from the PBE geometry in Alexandria, the X-ray powder pattern of Sm3ThIr3 was calculated for Cu Kα.

Structure:
Cell lengths 8.5622, 8.5622, 17.4537 Å; angles 90.00, 90.00, 120.00 degrees
Space group R-3 (No. 148, hexagonal axes)
Unique sites:
1 Sm 0.0156 0.2820 0.1031
2 Th 0.0000 0.0000 0.3273
3 Ir 0.0072 0.3811 0.9369

Main lines, sorted by position (2θ = 10–90°):
two_theta	intensity
25.84	21
32.35	30
33.59	28
36.35	80
37.38	100
53.14	27

Starting from the PBE geometry in Alexandria, the X-ray powder pattern of KCu4Sn12 was calculated for Cu Kα.

Structure:
Cell lengths 9.4872, 9.4872, 9.4872 Å; angles 90.00, 90.00, 90.00 degrees
Space group Im-3 (No. 204)
Unique sites:
1 K 0.0000 0.0000 0.0000
2 Cu 0.2500 0.2500 0.2500
3 Sn 0.0000 0.3427 0.1627

Main lines, sorted by position (2θ = 10–90°):
two_theta	intensity
29.78	100
35.40	36
42.62	23
46.92	20
48.96	25
66.89	20

Number 3 is which compound?
KCu4Sn12